No. 1
For Li3Cr2P4HO14, DFT lattice parameters and positions (PBE+U) gives the simulated X-ray powder pattern in this record (Cu Kα).

Atomic structure:
Unit cell a=5.1950 b=5.2646 c=12.4732 alpha=100.66 beta=90.35 gamma=117.80
Space group P-1 (No. 2)
Unique sites:
Li  0.0000  0.0000  0.0000
Li  0.2065  0.8180  0.4969
Cr  0.1976  0.9628  0.2630
P  0.2916  0.5850  0.1256
P  0.4673  0.4285  0.6435
H  0.5000  0.5000  0.0000
O  0.0973  0.2574  0.1492
O  0.1359  0.7680  0.1284
O  0.1619  0.2520  0.5928
O  0.3023  0.6581  0.3748
O  0.4362  0.2382  0.3856
O  0.4394  0.3415  0.7750
O  0.4445  0.6786  0.0219

Main lines, low angle first (10 to 90 degrees two-theta):
6.094 Å, intensity 35, hkl 0 0 2; 4.595 Å, intensity 36, hkl 0 1 -1; 4.564 Å, intensity 17, hkl 1 0 0; 4.440 Å, intensity 100, hkl 1 0 -1; 4.137 Å, intensity 29, hkl 1 0 1; 3.429 Å, intensity 19, hkl -1 1 2; 3.171 Å, intensity 25, hkl 1 -1 3; 2.824 Å, intensity 17, hkl 0 1 -4; 2.654 Å, intensity 17, hkl 1 1 0; 2.441 Å, intensity 22, hkl -1 2 1; 2.388 Å, intensity 20, hkl -2 1 2; 2.052 Å, intensity 20, hkl -1 1 5

=====

No. 2
For MgMn6O12, DFT lattice parameters and positions (PBE+U) gives the simulated X-ray powder pattern in this record (Cu Kα).

Atomic structure:
Unit cell a=10.2817 b=2.9173 c=10.7522 alpha=90.00 beta=104.20 gamma=90.00
Space group P2 (No. 3)
Unique sites:
Mg  0.0000  0.0000  0.0000
Mn  0.0000  0.4897  0.5000
Mn  0.0059  0.9936  0.2616
Mn  0.2519  0.4999  0.9907
Mn  0.5000  0.0007  0.0000
O  0.0569  0.4982  0.8760
O  0.0964  0.4891  0.3632
O  0.1004  0.9895  0.5963
O  0.1947  0.9996  0.0803
O  0.3147  0.0000  0.8998
O  0.4367  0.5003  0.0889

Main lines, low angle first (10 to 90 degrees two-theta):
8.291 Å, intensity 100, hkl 1 0 -1; 6.456 Å, intensity 52, hkl 1 0 1; 5.212 Å, intensity 60, hkl 0 0 2; 5.168 Å, intensity 19, hkl 1 0 -2; 4.988 Å, intensity 54, hkl 2 0 0; 2.544 Å, intensity 21, hkl 0 1 2; 2.519 Å, intensity 27, hkl 2 1 -1; 2.492 Å, intensity 23, hkl 4 0 0; 2.399 Å, intensity 19, hkl 1 1 2; 2.383 Å, intensity 18, hkl 2 1 1; 2.171 Å, intensity 30, hkl 2 1 -3; 1.934 Å, intensity 28, hkl 2 1 -4

=====

No. 3
For MnH6O3F3, DFT lattice parameters and positions (PBE+U) gives the simulated X-ray powder pattern in this record (Cu Kα).

Atomic structure:
Unit cell a=8.4774 b=9.7397 c=6.4328 alpha=90.00 beta=98.20 gamma=90.00
Space group P2_1/c (No. 14)
Unique sites:
Mn  0.0000  0.0000  0.0000
Mn  0.5000  0.0000  0.5000
H  0.0119  0.1971  0.6882
H  0.1316  0.5944  0.8919
H  0.2405  0.5568  0.2914
H  0.2850  0.1830  0.2900
H  0.3061  0.5635  0.5428
H  0.4477  0.2340  0.8249
O  0.0307  0.6044  0.7944
O  0.2100  0.5707  0.4340
O  0.3873  0.1927  0.3834
F  0.1003  0.1520  0.1404
F  0.2974  0.5613  0.0593
F  0.4569  0.5779  0.7269

Main lines, low angle first (10 to 90 degrees two-theta):
4.870 Å, intensity 65, hkl 0 2 0; 4.763 Å, intensity 100, hkl 1 1 -1; 4.274 Å, intensity 65, hkl 1 1 1; 4.195 Å, intensity 32, hkl 2 0 0; 3.180 Å, intensity 19, hkl 0 0 2; 3.028 Å, intensity 16, hkl 1 3 0; 2.977 Å, intensity 28, hkl 1 1 -2; 2.682 Å, intensity 23, hkl 1 3 1; 2.665 Å, intensity 17, hkl 0 2 2; 2.608 Å, intensity 19, hkl 3 1 -1; 1.950 Å, intensity 24, hkl 1 1 3; 1.927 Å, intensity 13, hkl 4 2 0

=====

No. 4
For Sr2NiOsO6, DFT lattice parameters and positions (PBE+U) gives the simulated X-ray powder pattern in this record (Cu Kα).

Atomic structure:
Unit cell a=5.3132 b=5.3132 c=8.9676 alpha=90.00 beta=90.00 gamma=90.00
Space group I4/m (No. 87)
Unique sites:
Sr  0.0000  0.5000  0.2500
Ni  0.0000  0.0000  0.0000
Os  0.0000  0.0000  0.5000
O  0.0000  0.0000  0.2808
O  0.1923  0.3066  0.0000

Main lines, low angle first (10 to 90 degrees two-theta):
4.571 Å, intensity 33, hkl 1 0 1; 2.880 Å, intensity 100, hkl 1 1 2; 2.657 Å, intensity 45, hkl 2 0 0; 2.297 Å, intensity 13, hkl 2 1 1; 2.242 Å, intensity 22, hkl 0 0 4; 1.878 Å, intensity 23, hkl 2 2 0; 1.713 Å, intensity 23, hkl 2 0 4; 1.573 Å, intensity 38, hkl 1 3 2; 1.440 Å, intensity 18, hkl 2 2 4; 1.389 Å, intensity 12, hkl 1 1 6; 1.188 Å, intensity 8, hkl 4 2 0; 1.117 Å, intensity 13, hkl 1 3 6

=====

No. 5
For CaBi3PbWClO8, DFT lattice parameters and positions (PBE+U) gives the simulated X-ray powder pattern in this record (Cu Kα).

Atomic structure:
Unit cell a=3.9583 b=4.1102 c=17.6055 alpha=90.00 beta=90.00 gamma=90.00
Space group Pmm2 (No. 25)
Unique sites:
Ca  0.0000  0.0000  0.0000
Bi  0.0000  0.5000  0.6607
Bi  0.5000  0.0000  0.2461
Bi  0.5000  0.0000  0.8144
Pb  0.0000  0.5000  0.3845
W  0.5000  0.0000  0.5456
Cl  0.0000  0.5000  0.0997
O  0.0000  0.0000  0.3039
O  0.0000  0.0000  0.5629
O  0.0000  0.0000  0.8810
O  0.5000  0.0000  0.4411
O  0.5000  0.0000  0.6622
O  0.5000  0.5000  0.2996
O  0.5000  0.5000  0.5628
O  0.5000  0.5000  0.7587

Main lines, low angle first (10 to 90 degrees two-theta):
8.803 Å, intensity 36, hkl 0 0 2; 3.367 Å, intensity 100, hkl 0 1 3; 3.282 Å, intensity 100, hkl 1 0 3; 3.004 Å, intensity 85, hkl 0 1 4; 2.943 Å, intensity 82, hkl 1 0 4; 2.851 Å, intensity 99, hkl 1 1 0; 2.515 Å, intensity 34, hkl 0 0 7; 2.055 Å, intensity 33, hkl 0 2 0; 1.886 Å, intensity 76, hkl 1 1 7; 1.742 Å, intensity 40, hkl 1 2 3; 1.685 Å, intensity 33, hkl 1 2 4; 1.653 Å, intensity 31, hkl 2 1 4

=====

No. 6
For Li9Mn2Co5O16, DFT lattice parameters and positions (PBE+U) gives the simulated X-ray powder pattern in this record (Cu Kα).

Atomic structure:
Unit cell a=5.1803 b=7.7232 c=7.7367 alpha=96.04 beta=104.34 gamma=104.05
Space group P-1 (No. 2)
Unique sites:
Li  0.0000  0.0000  0.0000
Li  0.0003  0.1299  0.3813
Li  0.0000  0.5000  0.5000
Li  0.0026  0.6179  0.8714
Li  0.0066  0.2609  0.7562
Li  0.5000  0.5000  0.0000
Mn  0.4936  0.1287  0.8775
Co  0.4918  0.3826  0.6303
Co  0.4979  0.2512  0.2495
Co  0.5000  0.0000  0.5000
O  0.2508  0.1280  0.6447
O  0.2536  0.3766  0.3794
O  0.2663  0.6437  0.1318
O  0.2666  0.8871  0.8908
O  0.2799  0.5109  0.7426
O  0.2858  0.2401  0.0054
O  0.2984  0.7596  0.5048
O  0.3008  0.0019  0.2520

Main lines, low angle first (10 to 90 degrees two-theta):
7.377 Å, intensity 8, hkl 0 0 1; 4.819 Å, intensity 100, hkl 1 0 0; 2.559 Å, intensity 15, hkl -1 2 2; 2.467 Å, intensity 25, hkl 0 3 -1; 2.408 Å, intensity 8, hkl 2 0 0; 2.139 Å, intensity 29, hkl -2 2 2; 2.045 Å, intensity 51, hkl 1 -1 3; 1.482 Å, intensity 7, hkl 3 1 -3; 1.478 Å, intensity 14, hkl -1 1 5; 1.476 Å, intensity 8, hkl -1 5 1; 1.456 Å, intensity 7, hkl 2 2 2; 1.437 Å, intensity 7, hkl 0 4 -4

=====

No. 7
For LaPrCr2O6, DFT lattice parameters and positions (PBE+U) gives the simulated X-ray powder pattern in this record (Cu Kα).

Atomic structure:
Unit cell a=7.8830 b=5.5684 c=5.5988 alpha=90.00 beta=90.00 gamma=90.00
Space group Pmc2_1 (No. 26)
Unique sites:
La  0.0000  0.2422  0.0000
Pr  0.5000  0.2599  0.0731
Cr  0.2510  0.2495  0.5333
O  0.0000  0.3305  0.5502
O  0.2074  0.0373  0.2458
O  0.2965  0.4651  0.8178
O  0.5000  0.1656  0.5125

Main lines, low angle first (10 to 90 degrees two-theta):
3.946 Å, intensity 23, hkl 2 0 0; 2.799 Å, intensity 18, hkl 0 0 2; 2.788 Å, intensity 100, hkl 2 1 1; 2.282 Å, intensity 9, hkl 2 0 2; 2.274 Å, intensity 10, hkl 2 2 0; 1.973 Å, intensity 33, hkl 4 0 0; 1.764 Å, intensity 6, hkl 4 1 1; 1.614 Å, intensity 12, hkl 2 1 3; 1.611 Å, intensity 8, hkl 4 0 2; 1.609 Å, intensity 27, hkl 2 3 1; 1.395 Å, intensity 11, hkl 4 2 2; 1.247 Å, intensity 9, hkl 6 1 1

=====

No. 8
For Ba2SrCrO6, DFT lattice parameters and positions (PBE+U) gives the simulated X-ray powder pattern in this record (Cu Kα).

Atomic structure:
Unit cell a=8.5080 b=8.5080 c=8.5080 alpha=90.00 beta=90.00 gamma=90.00
Space group Fm-3m (No. 225)
Unique sites:
Ba  0.2500  0.2500  0.2500
Sr  0.0000  0.0000  0.0000
Cr  0.0000  0.0000  0.5000
O  0.0000  0.0000  0.2819

Main lines, low angle first (10 to 90 degrees two-theta):
4.254 Å, intensity 5, hkl 2 0 0; 3.008 Å, intensity 100, hkl 2 2 0; 2.456 Å, intensity 12, hkl 2 2 2; 2.127 Å, intensity 31, hkl 4 0 0; 1.902 Å, intensity 4, hkl 4 2 0; 1.737 Å, intensity 38, hkl 4 2 2; 1.504 Å, intensity 19, hkl 4 4 0; 1.418 Å, intensity 2, hkl 4 4 2; 1.345 Å, intensity 19, hkl 6 2 0; 1.283 Å, intensity 3, hkl 6 2 2; 1.228 Å, intensity 6, hkl 4 4 4; 1.137 Å, intensity 21, hkl 6 4 2